Starting from the GGA+U geometry in the Materials Project, the X-ray powder pattern of Na2Ni2O3 was computed for copper Kα.
Lines closer than 0.1° are merged.

Structural model:
```
data_Na2Ni2O3
_cell_length_a 5.8244
_cell_length_b 5.7691
_cell_length_c 6.1645
_cell_angle_alpha 90.00
_cell_angle_beta 119.35
_cell_angle_gamma 90.00
_space_group_name_H-M_alt 'P 1 21/c 1'
_space_group_IT_number 14
_space_group_name_Hall '-P 2ybc'
loop_
_atom_site_label
_atom_site_type_symbol
_atom_site_fract_x
_atom_site_fract_y
_atom_site_fract_z
Na1 Na 0.1382 0.1576 0.3990
Ni1 Ni 0.3425 0.6324 0.5791
O1 O 0.0000 0.0000 0.0000
O2 O 0.3512 0.5814 0.2568
```

Principal peaks in the range 2θ from 15° to 90°, in order of rising 2θ:
d 5.077, 2θ = 17.5°, intensity 23; d 3.932, 2θ = 22.6°, intensity 73; d 3.811, 2θ = 23.3°, intensity 49; d 2.582, 2θ = 34.7°, intensity 47; d 2.518, 2θ = 35.7°, intensity 100; d 2.436, 2θ = 36.9°, intensity 51; d 2.323, 2θ = 38.8°, intensity 65; d 1.915, 2θ = 47.5°, intensity 31; d 1.623, 2θ = 56.7°, intensity 22; d 1.478, 2θ = 62.9°, intensity 25



Starting from the GGA+U geometry in the Materials Project, the X-ray powder pattern of Na2NiO2 was computed for copper Kα.
Lines closer than 0.1° are merged.

Structural model:
```
data_Na2NiO2
_cell_length_a 2.8696
_cell_length_b 4.5511
_cell_length_c 9.6481
_cell_angle_alpha 90.00
_cell_angle_beta 90.00
_cell_angle_gamma 90.00
_space_group_name_H-M_alt 'I m m m'
_space_group_IT_number 71
_space_group_name_Hall '-I 2 2'
loop_
_atom_site_label
_atom_site_type_symbol
_atom_site_fract_x
_atom_site_fract_y
_atom_site_fract_z
Na1 Na 0.0000 0.0000 0.1789
Ni1 Ni 0.0000 0.0000 0.5000
O1 O 0.0000 0.5000 0.1308
```

Principal peaks in the range 2θ from 15° to 90°, in order of rising 2θ:
d 4.824, 2θ = 18.4°, intensity 16; d 4.116, 2θ = 21.6°, intensity 100; d 2.626, 2θ = 34.1°, intensity 49; d 2.427, 2θ = 37.0°, intensity 34; d 2.276, 2θ = 39.6°, intensity 46; d 2.168, 2θ = 41.7°, intensity 10; d 2.141, 2θ = 42.2°, intensity 67; d 1.711, 2θ = 53.6°, intensity 23; d 1.559, 2θ = 59.3°, intensity 43; d 1.341, 2θ = 70.2°, intensity 20



Starting from the GGA+U geometry in the Materials Project, the X-ray powder pattern of Na2Ni5O10 was computed for copper Kα.
Lines closer than 0.1° are merged.

Structural model:
```
data_Na2Ni5O10
_cell_length_a 4.9013
_cell_length_b 6.5285
_cell_length_c 7.0968
_cell_angle_alpha 113.14
_cell_angle_beta 96.52
_cell_angle_gamma 103.84
_space_group_name_H-M_alt 'P -1'
_space_group_IT_number 2
_space_group_name_Hall '-P 1'
loop_
_atom_site_label
_atom_site_type_symbol
_atom_site_fract_x
_atom_site_fract_y
_atom_site_fract_z
Na1 Na 0.1186 0.2273 0.2282
Ni1 Ni 0.1012 0.7005 0.1972
Ni2 Ni 0.2991 0.0987 0.6037
Ni3 Ni 0.5000 0.5000 0.0000
O1 O 0.0041 0.7912 0.4623
O2 O 0.1729 0.6002 0.9260
O3 O 0.1861 0.1823 0.8713
O4 O 0.3881 0.9989 0.3238
O5 O 0.4071 0.5928 0.2627
```

Principal peaks in the range 2θ from 15° to 90°, in order of rising 2θ:
d 5.636, 2θ = 15.7°, intensity 100; d 2.818, 2θ = 31.8°, intensity 10; d 2.457, 2θ = 36.6°, intensity 6; d 2.426, 2θ = 37.1°, intensity 11; d 2.359, 2θ = 38.2°, intensity 8; d 2.149, 2θ = 42.1°, intensity 15; d 2.119, 2θ = 42.7°, intensity 15; d 2.114, 2θ = 42.8°, intensity 15; d 1.739, 2θ = 52.6°, intensity 5; d 1.605, 2θ = 57.4°, intensity 8



Starting from the GGA+U geometry in the Materials Project, the X-ray powder pattern of NaNi2O4 was computed for copper Kα.
Lines closer than 0.1° are merged.

Structural model:
```
data_NaNi2O4
_cell_length_a 5.7711
_cell_length_b 4.8715
_cell_length_c 12.6188
_cell_angle_alpha 90.00
_cell_angle_beta 116.83
_cell_angle_gamma 90.00
_space_group_name_H-M_alt 'P 1 c 1'
_space_group_IT_number 7
_space_group_name_Hall 'P -2yc'
loop_
_atom_site_label
_atom_site_type_symbol
_atom_site_fract_x
_atom_site_fract_y
_atom_site_fract_z
Na1 Na 0.0000 0.0142 0.0000
Na2 Na 0.5006 0.3576 0.5005
Ni1 Ni 0.0005 0.4991 0.7501
Ni2 Ni 0.2508 0.0007 0.7536
Ni3 Ni 0.4999 0.4991 0.7501
Ni4 Ni 0.7496 0.0026 0.2466
O1 O 0.0754 0.1745 0.3406
O2 O 0.1477 0.3179 0.1636
O3 O 0.3278 0.3329 0.8381
O4 O 0.4093 0.1744 0.6588
O5 O 0.6017 0.1698 0.3390
O6 O 0.6708 0.3318 0.1617
O7 O 0.8494 0.3210 0.8362
O8 O 0.9098 0.1774 0.6571
```

Principal peaks in the range 2θ from 15° to 90°, in order of rising 2θ:
d 5.630, 2θ = 15.7°, intensity 100; d 2.815, 2θ = 31.8°, intensity 12; d 2.483, 2θ = 36.2°, intensity 14; d 2.277, 2θ = 39.6°, intensity 13; d 2.267, 2θ = 39.8°, intensity 13; d 2.236, 2θ = 40.3°, intensity 10; d 1.867, 2θ = 48.8°, intensity 12; d 1.857, 2θ = 49.1°, intensity 12; d 1.842, 2θ = 49.5°, intensity 13; d 1.415, 2θ = 66.0°, intensity 8



Starting from the GGA+U geometry in the Materials Project, the X-ray powder pattern of Na4Ni5O10 was computed for copper Kα.
Lines closer than 0.1° are merged.

Structural model:
```
data_Na4Ni5O10
_cell_length_a 5.1683
_cell_length_b 6.3567
_cell_length_c 6.9442
_cell_angle_alpha 110.12
_cell_angle_beta 96.34
_cell_angle_gamma 105.92
_space_group_name_H-M_alt 'P -1'
_space_group_IT_number 2
_space_group_name_Hall '-P 1'
loop_
_atom_site_label
_atom_site_type_symbol
_atom_site_fract_x
_atom_site_fract_y
_atom_site_fract_z
Na1 Na 0.0997 0.1920 0.1890
Na2 Na 0.3130 0.6214 0.6236
Ni1 Ni 0.1014 0.6986 0.2041
Ni2 Ni 0.2960 0.0979 0.5977
Ni3 Ni 0.5000 0.5000 0.0000
O1 O 0.0177 0.7754 0.4754
O2 O 0.1676 0.6137 0.9264
O3 O 0.1851 0.1818 0.8595
O4 O 0.3700 0.0089 0.3250
O5 O 0.3952 0.5918 0.2873
```

Principal peaks in the range 2θ from 15° to 90°, in order of rising 2θ:
d 5.386, 2θ = 16.5°, intensity 100; d 2.693, 2θ = 33.3°, intensity 18; d 2.454, 2θ = 36.6°, intensity 11; d 2.416, 2θ = 37.2°, intensity 10; d 2.398, 2θ = 37.5°, intensity 10; d 2.186, 2θ = 41.3°, intensity 34; d 2.140, 2θ = 42.2°, intensity 31; d 2.124, 2θ = 42.6°, intensity 29; d 1.581, 2θ = 58.4°, intensity 9; d 1.577, 2θ = 58.5°, intensity 9



Starting from the GGA+U geometry in the Materials Project, the X-ray powder pattern of NaNi5O6 was computed for copper Kα.
Lines closer than 0.1° are merged.

Structural model:
```
data_NaNi5O6
_cell_length_a 5.2382
_cell_length_b 8.9537
_cell_length_c 9.9131
_cell_angle_alpha 90.00
_cell_angle_beta 99.04
_cell_angle_gamma 90.00
_space_group_name_H-M_alt 'C 1 2 1'
_space_group_IT_number 5
_space_group_name_Hall 'C 2y'
loop_
_atom_site_label
_atom_site_type_symbol
_atom_site_fract_x
_atom_site_fract_y
_atom_site_fract_z
Na1 Na 0.2491 0.0000 0.2499
Ni1 Ni 0.0000 0.0020 0.5000
Ni2 Ni 0.0000 0.1658 0.0000
Ni3 Ni 0.0000 0.3344 0.5000
Ni4 Ni 0.0000 0.4959 0.0000
Ni5 Ni 0.0000 0.6635 0.5000
Ni6 Ni 0.0000 0.8356 0.0000
Ni7 Ni 0.2461 0.3319 0.2499
Ni8 Ni 0.2478 0.1688 0.7502
O1 O 0.1076 0.8179 0.3831
O2 O 0.1092 0.6824 0.8826
O3 O 0.1116 0.1776 0.3772
O4 O 0.1141 0.3226 0.8770
O5 O 0.1406 0.5059 0.3860
O6 O 0.1421 0.9931 0.8857
```

Principal peaks in the range 2θ from 15° to 90°, in order of rising 2θ:
d 2.451, 2θ = 36.7°, intensity 100; d 2.152, 2θ = 42.0°, intensity 52; d 2.109, 2θ = 42.9°, intensity 95; d 1.506, 2θ = 61.6°, intensity 56; d 1.492, 2θ = 62.2°, intensity 13; d 1.490, 2θ = 62.3°, intensity 14; d 1.293, 2θ = 73.2°, intensity 10; d 1.274, 2θ = 74.5°, intensity 20; d 1.273, 2θ = 74.6°, intensity 7; d 1.226, 2θ = 77.9°, intensity 19



Starting from the GGA+U geometry in the Materials Project, the X-ray powder pattern of Na5Ni6O12 was computed for copper Kα.
Lines closer than 0.1° are merged.

Structural model:
```
data_Na5Ni6O12
_cell_length_a 5.9844
_cell_length_b 6.8538
_cell_length_c 6.9060
_cell_angle_alpha 66.81
_cell_angle_beta 76.84
_cell_angle_gamma 67.21
_space_group_name_H-M_alt 'P -1'
_space_group_IT_number 2
_space_group_name_Hall '-P 1'
loop_
_atom_site_label
_atom_site_type_symbol
_atom_site_fract_x
_atom_site_fract_y
_atom_site_fract_z
Na1 Na 0.0000 0.0000 0.0000
Na2 Na 0.1797 0.3233 0.6729
Na3 Na 0.3383 0.6856 0.3172
Ni1 Ni 0.0806 0.1686 0.3338
Ni2 Ni 0.2517 0.4971 0.9985
Ni3 Ni 0.4199 0.8318 0.6670
O1 O 0.0498 0.0569 0.6386
O2 O 0.0956 0.2845 0.0315
O3 O 0.2095 0.3968 0.3011
O4 O 0.2901 0.6043 0.6958
O5 O 0.3954 0.7160 0.9682
O6 O 0.4457 0.9459 0.3667
```

Principal peaks in the range 2θ from 15° to 90°, in order of rising 2θ:
d 5.329, 2θ = 16.6°, intensity 100; d 2.664, 2θ = 33.6°, intensity 19; d 2.606, 2θ = 34.4°, intensity 10; d 2.472, 2θ = 36.3°, intensity 19; d 2.402, 2θ = 37.4°, intensity 11; d 2.393, 2θ = 37.6°, intensity 11; d 2.228, 2θ = 40.5°, intensity 40; d 2.106, 2θ = 42.9°, intensity 63; d 1.575, 2θ = 58.6°, intensity 10; d 1.570, 2θ = 58.8°, intensity 10



Starting from the GGA+U geometry in the Materials Project, the X-ray powder pattern of NaNi2O3 was computed for copper Kα.
Lines closer than 0.1° are merged.

Structural model:
```
data_NaNi2O3
_cell_length_a 5.3094
_cell_length_b 9.0007
_cell_length_c 10.0927
_cell_angle_alpha 90.00
_cell_angle_beta 98.81
_cell_angle_gamma 90.00
_space_group_name_H-M_alt 'C 1 2/m 1'
_space_group_IT_number 12
_space_group_name_Hall '-C 2y'
loop_
_atom_site_label
_atom_site_type_symbol
_atom_site_fract_x
_atom_site_fract_y
_atom_site_fract_z
Na1 Na 0.0000 0.1704 0.0000
Na2 Na 0.0000 0.3300 0.5000
Ni1 Ni 0.0000 0.0000 0.5000
Ni2 Ni 0.0000 0.5000 0.0000
Ni3 Ni 0.2430 0.0000 0.2486
Ni4 Ni 0.2491 0.3350 0.2504
O1 O 0.1192 0.1506 0.3570
O2 O 0.1191 0.3492 0.8535
O3 O 0.1521 0.0000 0.8668
O4 O 0.1689 0.5000 0.3752
```

Principal peaks in the range 2θ from 15° to 90°, in order of rising 2θ:
d 4.987, 2θ = 17.8°, intensity 31; d 2.493, 2θ = 36.0°, intensity 25; d 2.484, 2θ = 36.2°, intensity 24; d 2.474, 2θ = 36.3°, intensity 46; d 2.188, 2θ = 41.3°, intensity 55; d 2.130, 2θ = 42.4°, intensity 100; d 1.528, 2θ = 60.6°, intensity 29; d 1.524, 2θ = 60.8°, intensity 30; d 1.513, 2θ = 61.3°, intensity 14; d 1.500, 2θ = 61.8°, intensity 14